P2W5O19: simulated powder diffraction line list (Cu Kα), based on a crystal structure in Alexandria, relaxed with GGA+U.

Main lines, in order of rising 2θ (2θ = 5–70°):
(0 0 2), d 10.468, 8.4°, I 38
(0 1 3), d 4.842, 18.3°, I 16
(0 1 4), d 4.133, 21.5°, I 100
(1 1 -3), d 3.912, 22.7°, I 56
(1 1 2), d 3.610, 24.7°, I 46
(0 1 5), d 3.554, 25.1°, I 21
(1 2 1), d 2.755, 32.5°, I 29
(2 0 -2), d 2.708, 33.1°, I 20
(1 0 -8), d 2.619, 34.2°, I 47
(2 2 3), d 1.884, 48.3°, I 15
(1 3 -7), d 1.781, 51.3°, I 22
(2 3 -1), d 1.721, 53.2°, I 22

Structural model:
abc: 5.4167 6.7227 21.6209
angles: 90.00 104.47 90.00
Fractional coordinates of all 52 atoms:
P: 0.1948 0.0279 0.1964
P: 0.1948 0.4721 0.6964
P: 0.8052 0.5279 0.3036
P: 0.8052 0.9721 0.8036
W: 0.0736 0.6698 0.0740
W: 0.0736 0.8302 0.5740
W: 0.3528 0.6660 0.8525
W: 0.3528 0.8340 0.3525
W: 0.5000 0.0000 0.0000
W: 0.5000 0.5000 0.5000
W: 0.6472 0.1660 0.6475
W: 0.6472 0.3340 0.1475
W: 0.9264 0.1698 0.4260
W: 0.9264 0.3302 0.9260
O: 0.0000 0.0000 0.5000
O: 0.0000 0.5000 0.0000
O: 0.0536 0.6488 0.3147
O: 0.0536 0.8512 0.8147
O: 0.1308 0.5017 0.8825
O: 0.1308 0.9983 0.3825
O: 0.1547 0.6606 0.6550
O: 0.1547 0.8394 0.1550
O: 0.2136 0.1683 0.9600
O: 0.2136 0.3317 0.4600
O: 0.2689 0.5337 0.7673
O: 0.2689 0.9663 0.2673
O: 0.2852 0.6638 0.5390
O: 0.2852 0.8362 0.0390
O: 0.3703 0.5025 0.1166
O: 0.3703 0.9975 0.6166
O: 0.4157 0.1531 0.1842
O: 0.4157 0.3469 0.6842
O: 0.4254 0.6749 0.4254
O: 0.4254 0.8251 0.9254
O: 0.5746 0.1749 0.0746
O: 0.5746 0.3251 0.5746
O: 0.5843 0.6531 0.3158
O: 0.5843 0.8469 0.8158
O: 0.6297 0.0025 0.3834
O: 0.6297 0.4975 0.8834
O: 0.7148 0.1638 0.9610
O: 0.7148 0.3362 0.4610
O: 0.7311 0.0337 0.7327
O: 0.7311 0.4663 0.2327
O: 0.7864 0.6683 0.5400
O: 0.7864 0.8317 0.0400
O: 0.8453 0.1606 0.8450
O: 0.8453 0.3394 0.3450
O: 0.8692 0.0017 0.6175
O: 0.8692 0.4983 0.1175
O: 0.9464 0.1488 0.1853
O: 0.9464 0.3512 0.6853